Theoretical powder X-ray diffraction pattern of SiH4I for copper Kα, from the GGA-PBE geometry in Alexandria.
Kinematic intensities with the Lorentz-polarization factor, no thermal factor.

Peak list (10 most intense, 15 to 90 degrees two-theta, sorted by position)
two_theta, d_spacing, intensity, (hkl)
21.10, 4.211, 62.9, 4 0 0
28.25, 3.159, 21.7, 1 1 -1
30.22, 2.958, 100.0, 1 1 1
35.53, 2.527, 25.4, 3 1 1
37.39, 2.405, 13.7, 2 0 -2
43.11, 2.099, 35.7, 5 1 1
43.25, 2.092, 17.3, 2 0 2
48.55, 1.875, 12.6, 4 2 0
62.51, 1.486, 17.9, 9 1 1
62.84, 1.479, 11.9, 2 2 2

Atomic structure:
```
data_SiH4I
_cell_length_a 17.5141
_cell_length_b 4.1883
_cell_length_c 4.8103
_cell_angle_alpha 90.00
_cell_angle_beta 105.88
_cell_angle_gamma 90.00
_space_group_name_H-M_alt 'C 1 2/c 1'
_space_group_IT_number 15
loop_
_space_group_symop_operation_xyz
'x,y,z'
'-x,-y,-z'
'-x,y,-z+1/2'
'x,-y,z+1/2'
'x+1/2,y+1/2,z'
'-x+1/2,-y+1/2,-z'
'-x+1/2,y+1/2,-z+1/2'
'x+1/2,-y+1/2,z+1/2'
loop_
_atom_site_label
_atom_site_type_symbol
_atom_site_fract_x
_atom_site_fract_y
_atom_site_fract_z
Si1 Si 0.2500 0.2500 0.0000
H1 H 0.1682 0.1056 0.9170
H2 H 0.2194 0.4956 0.2229
I1 I 0.0000 0.2519 0.2500
```

---

Theoretical powder X-ray diffraction pattern of Tb3Pm3In for copper Kα, from the GGA-PBE geometry in Alexandria.
Kinematic intensities with the Lorentz-polarization factor, no thermal factor.

Peak list (10 most intense, 15 to 90 degrees two-theta, sorted by position)
two_theta, d_spacing, intensity, (hkl)
28.73, 3.108, 24.0, 2 1 0
31.76, 2.818, 25.0, 0 0 2
32.91, 2.721, 100.0, 2 1 1
43.35, 2.087, 15.7, 2 1 2
50.89, 1.794, 18.6, 1 4 0
57.31, 1.608, 20.5, 2 1 3
61.25, 1.513, 21.3, 1 4 2
61.95, 1.498, 15.1, 4 2 1
84.20, 1.150, 12.0, 7 0 1
88.17, 1.108, 8.0, 1 4 4

Atomic structure:
```
data_Tb3Pm3In
_cell_length_a 9.4940
_cell_length_b 9.4940
_cell_length_c 5.6356
_cell_angle_alpha 90.00
_cell_angle_beta 90.00
_cell_angle_gamma 120.00
_space_group_name_H-M_alt 'P 63/m'
_space_group_IT_number 176
_space_group_name_Hall '-P 6c'
loop_
_atom_site_label
_atom_site_type_symbol
_atom_site_fract_x
_atom_site_fract_y
_atom_site_fract_z
Tb1 Tb 0.0614 0.2400 0.2500
Pm1 Pm 0.1063 0.4773 0.7500
In1 In 0.3333 0.6667 0.2500
```

---

Theoretical powder X-ray diffraction pattern of BaMgSnAu2 for copper Kα, from the GGA-PBE geometry in Alexandria.
Kinematic intensities with the Lorentz-polarization factor, no thermal factor.

Peak list (10 most intense, 15 to 90 degrees two-theta, sorted by position)
two_theta, d_spacing, intensity, (hkl)
20.46, 4.342, 54.2, 1 0 1
27.13, 3.287, 59.0, 1 1 0
29.24, 3.054, 100.0, 1 0 3
30.93, 2.891, 58.1, 1 1 2
38.74, 2.324, 73.5, 2 0 0
40.43, 2.231, 47.7, 1 1 4
41.94, 2.154, 58.6, 1 0 5
49.27, 1.849, 50.0, 2 1 3
55.95, 1.643, 25.5, 2 2 0
58.42, 1.580, 44.6, 2 1 5

Atomic structure:
```
data_BaMgSnAu2
_cell_length_a 4.6483
_cell_length_b 4.6483
_cell_length_c 12.1532
_cell_angle_alpha 90.00
_cell_angle_beta 90.00
_cell_angle_gamma 90.00
_space_group_name_H-M_alt 'I -4 m 2'
_space_group_IT_number 119
_space_group_name_Hall 'I -4 -2'
loop_
_atom_site_label
_atom_site_type_symbol
_atom_site_fract_x
_atom_site_fract_y
_atom_site_fract_z
Ba1 Ba 0.0000 0.0000 0.0000
Mg1 Mg 0.0000 0.5000 0.2500
Sn1 Sn 0.0000 0.5000 0.7500
Au1 Au 0.0000 0.0000 0.3821
```

---

Theoretical powder X-ray diffraction pattern of ScSe2NCl for copper Kα, from the GGA-PBE geometry in Alexandria.
Kinematic intensities with the Lorentz-polarization factor, no thermal factor.

Peak list (10 most intense, 15 to 90 degrees two-theta, sorted by position)
two_theta, d_spacing, intensity, (hkl)
21.72, 4.091, 58.1, 0 0 1
27.65, 3.227, 25.2, 1 0 1
32.57, 2.749, 95.6, 1 1 1
34.16, 2.625, 100.0, 2 0 0
40.85, 2.209, 45.8, 2 0 1
44.28, 2.045, 23.1, 0 0 2
49.09, 1.856, 33.5, 2 2 0
57.09, 1.613, 41.4, 2 0 2
60.16, 1.538, 30.2, 3 1 1
68.24, 1.374, 23.7, 2 2 2

Atomic structure:
```
data_ScSe2NCl
_cell_length_a 5.2490
_cell_length_b 5.2490
_cell_length_c 4.0908
_cell_angle_alpha 90.00
_cell_angle_beta 90.00
_cell_angle_gamma 90.00
_space_group_name_H-M_alt 'P 4/m m m'
_space_group_IT_number 123
_space_group_name_Hall '-P 4 2'
loop_
_atom_site_label
_atom_site_type_symbol
_atom_site_fract_x
_atom_site_fract_y
_atom_site_fract_z
Sc1 Sc 0.0000 0.0000 0.0000
Se1 Se 0.0000 0.5000 0.0000
N1 N 0.0000 0.0000 0.5000
Cl1 Cl 0.5000 0.5000 0.5000
```

---

Theoretical powder X-ray diffraction pattern of DyErZr2P4 for copper Kα, from the GGA-PBE geometry in Alexandria.
Kinematic intensities with the Lorentz-polarization factor, no thermal factor.

Peak list (10 most intense, 15 to 90 degrees two-theta, sorted by position)
two_theta, d_spacing, intensity, (hkl)
28.09, 3.176, 18.6, 0 0 2
28.44, 3.138, 53.8, 2 0 0
32.86, 2.726, 100.0, 1 1 1
46.92, 1.936, 35.9, 2 0 2
47.38, 1.919, 35.2, 0 2 0
55.99, 1.642, 17.0, 3 1 1
58.86, 1.569, 18.2, 4 0 0
78.12, 1.223, 15.6, 3 1 3
78.79, 1.215, 15.6, 4 2 0
87.86, 1.111, 12.1, 5 1 1

Atomic structure:
```
data_DyErZr2P4
_cell_length_a 6.6502
_cell_length_b 3.8359
_cell_length_c 6.7304
_cell_angle_alpha 90.00
_cell_angle_beta 109.28
_cell_angle_gamma 90.00
_space_group_name_H-M_alt 'P 1 2/m 1'
_space_group_IT_number 10
loop_
_space_group_symop_operation_xyz
'x,y,z'
'-x,-y,-z'
'-x,y,-z'
'x,-y,z'
loop_
_atom_site_label
_atom_site_type_symbol
_atom_site_fract_x
_atom_site_fract_y
_atom_site_fract_z
Dy1 Dy 0.0000 0.0000 0.0000
Er1 Er 0.5000 0.5000 0.0000
Zr1 Zr 0.0000 0.5000 0.5000
Zr2 Zr 0.5000 0.0000 0.5000
P1 P 0.2470 0.0000 0.7378
P2 P 0.2555 0.5000 0.2631
```

---

Theoretical powder X-ray diffraction pattern of Cr3Mo for copper Kα, from the GGA-PBE geometry in Alexandria.
Kinematic intensities with the Lorentz-polarization factor, no thermal factor.

Peak list (10 most intense, 15 to 90 degrees two-theta, sorted by position)
two_theta, d_spacing, intensity, (hkl)
21.66, 4.102, 5.0, 0 0 2
38.76, 2.323, 6.2, 1 1 1
42.98, 2.104, 26.1, 0 2 0
43.38, 2.086, 100.0, 1 1 2
44.15, 2.051, 22.7, 0 0 4
62.74, 1.481, 7.7, 2 0 0
63.32, 1.469, 14.2, 0 2 4
79.06, 1.211, 22.6, 2 2 0
79.89, 1.201, 7.0, 2 0 4
80.69, 1.191, 12.8, 1 1 6

Atomic structure:
```
data_Cr3Mo
_cell_length_a 2.9620
_cell_length_b 4.2087
_cell_length_c 8.2048
_cell_angle_alpha 90.00
_cell_angle_beta 90.00
_cell_angle_gamma 90.00
_space_group_name_H-M_alt 'C m m m'
_space_group_IT_number 65
_space_group_name_Hall '-C 2 2'
loop_
_atom_site_label
_atom_site_type_symbol
_atom_site_fract_x
_atom_site_fract_y
_atom_site_fract_z
Cr1 Cr 0.0000 0.0000 0.0000
Cr2 Cr 0.0000 0.5000 0.2355
Mo1 Mo 0.0000 0.0000 0.5000
```

---

Theoretical powder X-ray diffraction pattern of Mg3HIr4 for copper Kα, from the GGA-PBE geometry in Alexandria.
Kinematic intensities with the Lorentz-polarization factor, no thermal factor.

Peak list (10 most intense, 15 to 90 degrees two-theta, sorted by position)
two_theta, d_spacing, intensity, (hkl)
17.31, 5.123, 100.0, 0 0 1
19.32, 4.594, 60.3, 1 0 0
24.46, 3.639, 49.5, 0 1 1
37.72, 2.385, 66.8, 1 2 0
39.20, 2.298, 95.9, 2 0 0
42.11, 2.146, 29.6, 2 1 1
42.78, 2.114, 64.8, 1 -2 0
43.12, 2.098, 65.2, 1 -1 2
45.48, 1.994, 57.9, 1 1 -2
50.57, 1.805, 29.6, 2 1 2

Atomic structure:
```
data_Mg3HIr4
_cell_length_a 4.6887
_cell_length_b 5.1742
_cell_length_c 5.1802
_cell_angle_alpha 88.33
_cell_angle_beta 81.66
_cell_angle_gamma 81.80
_space_group_name_H-M_alt 'P 1'
_space_group_IT_number 1
loop_
_space_group_symop_operation_xyz
'x,y,z'
loop_
_atom_site_label
_atom_site_type_symbol
_atom_site_fract_x
_atom_site_fract_y
_atom_site_fract_z
Mg1 Mg 0.0000 0.0000 0.0000
Mg2 Mg 0.0009 0.5929 0.4069
Mg3 Mg 0.4823 0.4097 0.8195
H1 H 0.9790 0.3211 0.7287
Ir1 Ir 0.0915 0.0932 0.5005
Ir2 Ir 0.4983 0.7792 0.1843
Ir3 Ir 0.5723 0.2948 0.3148
Ir4 Ir 0.5720 0.9062 0.6994
```

---

Theoretical powder X-ray diffraction pattern of K2LiBeH4 for copper Kα, from the GGA-PBE geometry in Alexandria.
Kinematic intensities with the Lorentz-polarization factor, no thermal factor.

Peak list (10 most intense, 15 to 90 degrees two-theta, sorted by position)
two_theta, d_spacing, intensity, (hkl)
20.53, 4.326, 33.2, 0 2 2
21.07, 4.217, 43.0, 0 0 8
23.43, 3.797, 100.0, 1 1 3
25.44, 3.502, 81.3, 0 2 6
25.73, 3.462, 51.5, 1 1 5
36.82, 2.441, 30.4, 1 1 11
36.97, 2.431, 28.1, 1 3 3
38.54, 2.336, 20.3, 1 3 5
40.29, 2.239, 20.4, 0 4 0
44.94, 2.017, 19.4, 2 2 0

Atomic structure:
```
data_K2LiBeH4
_cell_length_a 4.5192
_cell_length_b 8.9517
_cell_length_c 33.7320
_cell_angle_alpha 90.00
_cell_angle_beta 90.00
_cell_angle_gamma 90.00
_space_group_name_H-M_alt 'F d d d'
_space_group_IT_number 70
loop_
_space_group_symop_operation_xyz
'x,y,z'
'-x,-y,-z'
'-x+1/4,-y+1/4,z'
'x+1/4,y+1/4,-z'
'x,-y+1/4,-z+1/4'
'-x,y+1/4,z+1/4'
'-x+1/4,y,-z+1/4'
'x+1/4,-y,z+1/4'
'x,y+1/2,z+1/2'
'-x,-y+1/2,-z+1/2'
'-x+1/4,-y+3/4,z+1/2'
'x+1/4,y+3/4,-z+1/2'
'x,-y+3/4,-z+3/4'
'-x,y+3/4,z+3/4'
'-x+1/4,y+1/2,-z+3/4'
'x+1/4,-y+1/2,z+3/4'
'x+1/2,y,z+1/2'
'-x+1/2,-y,-z+1/2'
'-x+3/4,-y+1/4,z+1/2'
'x+3/4,y+1/4,-z+1/2'
'x+1/2,-y+1/4,-z+3/4'
'-x+1/2,y+1/4,z+3/4'
'-x+3/4,y,-z+3/4'
'x+3/4,-y,z+3/4'
'x+1/2,y+1/2,z'
'-x+1/2,-y+1/2,-z'
'-x+3/4,-y+3/4,z'
'x+3/4,y+3/4,-z'
'x+1/2,-y+3/4,-z+1/4'
'-x+1/2,y+3/4,z+1/4'
'-x+3/4,y+1/2,-z+1/4'
'x+3/4,-y+1/2,z+1/4'
loop_
_atom_site_label
_atom_site_type_symbol
_atom_site_fract_x
_atom_site_fract_y
_atom_site_fract_z
K1 K 0.1250 0.1250 0.3080
Li1 Li 0.1250 0.1250 0.1250
Be1 Be 0.1250 0.1250 0.6250
H1 H 0.0671 0.2841 0.8506
```